Entry 1:
This entry pairs a crystal structure of Co6NiRh with its theoretical powder XRD pattern. Radiation: Cu Kα (weighted mean of Kα1 and Kα2). Structure: DFT lattice parameters and positions (GGA-PBE).
Neutral-atom scattering factors, no anomalous dispersion.

Peak list (10 most intense, 2θ = 15–90°, by angle)
17.48 deg, I = 2, (0 1 1); 24.81 deg, I = 2, (0 2 0); 30.64 deg, I = 3, (1 1 1); 43.79 deg, I = 100, (1 2 2); 50.81 deg, I = 16, (0 4 0); 51.00 deg, I = 15, (0 0 4); 51.23 deg, I = 15, (2 0 0); 74.86 deg, I = 9, (0 4 4); 75.04 deg, I = 9, (2 4 0); 75.20 deg, I = 9, (2 0 4)

```
data_Co6NiRh
_chemical_formula_sum 'Co12 Ni2 Rh2'
_cell_length_a 3.566
_cell_length_b 7.188
_cell_length_c 7.163
_cell_angle_alpha 90.00
_cell_angle_beta 90.00
_cell_angle_gamma 90.00
_symmetry_space_group_name_H-M 'A m m 2'
_symmetry_Int_Tables_number 38
_symmetry_space_group_name_Hall 'A 2 -2'
loop_
_atom_site_label
_atom_site_type_symbol
_atom_site_fract_x
_atom_site_fract_y
_atom_site_fract_z
Co1 Co 0.000 0.000 0.000
Co2 Co 0.000 0.242 0.758
Co3 Co 0.500 0.000 0.757
Co4 Co 0.500 0.249 0.007
Ni1 Ni 0.000 0.000 0.515
Rh1 Rh 0.500 0.000 0.257
```

Entry 2:
This entry pairs a crystal structure of PrYSn2 with its theoretical powder XRD pattern. Radiation: Cu Kα (weighted mean of Kα1 and Kα2). Structure: DFT lattice parameters and positions (GGA-PBE).
Neutral-atom scattering factors, no anomalous dispersion.

Peak list (10 most intense, 2θ = 15–90°, by angle)
29.19 deg, I = 100, (1 1 1); 30.72 deg, I = 34, (0 0 4); 36.59 deg, I = 81, (1 1 3); 37.11 deg, I = 17, (1 0 4); 39.09 deg, I = 27, (0 2 0); 41.32 deg, I = 23, (2 0 0); 50.51 deg, I = 17, (0 2 4); 52.35 deg, I = 15, (2 0 4); 58.18 deg, I = 17, (2 2 0); 67.93 deg, I = 15, (1 0 8)

```
data_PrYSn2
_chemical_formula_sum 'Pr2 Y2 Sn4'
_cell_length_a 4.370
_cell_length_b 4.609
_cell_length_c 11.644
_cell_angle_alpha 90.00
_cell_angle_beta 90.00
_cell_angle_gamma 90.00
_symmetry_space_group_name_H-M 'A m m 2'
_symmetry_Int_Tables_number 38
_symmetry_space_group_name_Hall 'A 2 -2'
loop_
_atom_site_label
_atom_site_type_symbol
_atom_site_fract_x
_atom_site_fract_y
_atom_site_fract_z
Pr1 Pr 0.000 0.000 0.000
Y1 Y 0.500 0.000 0.730
Sn1 Sn 0.000 0.000 0.273
Sn2 Sn 0.500 0.000 0.455
```